Diffraction record for CrGaBiO6. The powder diffractogram is theoretical, not measured: it uses a crystal structure in Alexandria, relaxed with PBE+U and λ = 1.5418 Å (Cu Kα).
Lines closer than 0.1° are merged.

Top 10 peaks for 5° ≤ 2θ ≤ 70°, in order of rising 2θ:
hkl	Position (°2θ)	d (Å)	I/Imax
0 0 2	18.8	4.721	17
1 0 1	21.2	4.199	53
1 1 0	26.9	3.315	100
1 1 2	33.0	2.713	21
1 0 3	34.3	2.613	80
2 0 0	38.4	2.344	22
2 1 1	44.3	2.047	19
2 1 3	52.4	1.745	66
2 2 0	55.4	1.657	16
3 0 3	66.8	1.400	20

Structure:
```
CrGaBiO6
1.0
4.6876 0.0000 0.0000
0.0000 4.6876 0.0000
0.0000 0.0000 9.4424
Cr Ga Bi O
2 2 2 12
Cartesian
0.0000 0.0000 0.0000
2.3438 2.3438 4.7212
0.0000 0.0000 3.1546
2.3438 2.3438 7.8758
0.0000 0.0000 6.3066
2.3438 2.3438 1.5854
0.8414 0.8414 1.5547
0.9300 0.9300 7.9991
0.9724 0.9724 4.6466
1.3714 3.3163 9.3678
1.4139 3.2738 3.2779
1.5025 3.1852 6.2759
3.1852 1.5025 6.2759
3.2738 1.4139 3.2779
3.3163 1.3714 9.3678
3.7152 3.7152 4.6466
3.7577 3.7577 7.9991
3.8463 3.8463 1.5547
```